Record 1
The following is a simulated powder X-ray diffraction pattern of Ba3NiC3N3. It was derived from a DFT-relaxed cell (GGA-PBE, OQMD), using Cu Kα X-rays.
Kinematic intensities with the Lorentz-polarization factor, no thermal factor.

Largest 10 diffraction maxima, by intensity, 2θ = 10–80°:
- 2θ = 24.73°, d 3.600, rel. 100
- 2θ = 33.75°, d 2.656, rel. 50
- 2θ = 30.92°, d 2.892, rel. 41
- 2θ = 46.42°, d 1.956, rel. 40
- 2θ = 27.18°, d 3.281, rel. 38
- 2θ = 29.66°, d 3.012, rel. 33
- 2θ = 19.29°, d 4.600, rel. 26
- 2θ = 43.38°, d 2.086, rel. 22
- 2θ = 52.50°, d 1.743, rel. 22
- 2θ = 42.29°, d 2.137, rel. 17

Crystal structure
```
20
Lattice="9.2004 0.0000 0.0000 -4.6002 7.9678 0.0000 0.0000 0.0000 5.7843" Properties=species:S:1:pos:R:3 pbc="T T T"
Ba -2.6979 5.5709 1.4461
Ba 1.1246 2.8459 1.4461
Ba 3.0270 0.4490 4.3382
Ba 1.5733 7.5188 1.4461
Ba 3.4756 5.1219 4.3382
Ba 7.2981 2.3969 4.3382
Ni 0.0000 5.3119 4.3382
Ni 4.6002 2.6559 1.4461
C -1.7909 5.4663 4.3382
C 0.7618 3.6837 4.3382
C 3.5710 1.1821 1.4461
C 1.0292 6.7857 4.3382
C 3.8384 4.2841 1.4461
C 6.3912 2.5015 1.4461
N -3.0195 5.5736 4.3382
N 1.2831 2.5660 4.3382
N 2.8638 0.1718 1.4461
N 1.7364 7.7960 4.3382
N 3.3171 5.4018 1.4461
N 7.6197 2.3942 1.4461
```

=====

Record 2
The following is a simulated powder X-ray diffraction pattern of Rb2BaPt2C8N8. It was derived from a DFT-relaxed cell (GGA-PBE, OQMD), using Cu Kα X-rays.
Kinematic intensities with the Lorentz-polarization factor, no thermal factor.

Largest 10 diffraction maxima, by intensity, 2θ = 10–80°:
- 2θ = 11.36°, d 7.792, rel. 100
- 2θ = 28.46°, d 3.136, rel. 96
- 2θ = 36.79°, d 2.443, rel. 92
- 2θ = 16.09°, d 5.509, rel. 89
- 2θ = 32.50°, d 2.755, rel. 81
- 2θ = 20.69°, d 4.294, rel. 81
- 2θ = 22.83°, d 3.896, rel. 79
- 2θ = 30.73°, d 2.909, rel. 56
- 2θ = 49.89°, d 1.828, rel. 38
- 2θ = 38.84°, d 2.319, rel. 31

Crystal structure
```
21
Lattice="7.7916 0.0000 0.0000 0.0000 7.7916 0.0000 0.0000 0.0000 6.8524" Properties=species:S:1:pos:R:3 pbc="T T T"
Rb 0.0000 3.8958 0.0000
Rb 3.8958 0.0000 0.0000
Ba 0.0000 0.0000 3.4262
Pt 3.8958 3.8958 1.7609
Pt 3.8958 3.8958 5.0916
C 2.4931 2.4931 1.7794
C 2.4931 2.4931 5.0730
C 2.4931 5.2985 1.7794
C 2.4931 5.2985 5.0730
C 5.2985 2.4931 1.7794
C 5.2985 2.4931 5.0730
C 5.2985 5.2985 1.7794
C 5.2985 5.2985 5.0730
N 1.6627 1.6627 1.7969
N 1.6627 1.6627 5.0555
N 1.6627 6.1289 1.7969
N 1.6627 6.1289 5.0555
N 6.1289 1.6627 1.7969
N 6.1289 1.6627 5.0555
N 6.1289 6.1289 1.7969
N 6.1289 6.1289 5.0555
```